(1)
Theoretical PXRD pattern of Sr6InAg for Cu Kα (λ = 1.5418 Å), from a PBE-relaxed structure.

Unit cell a=5.8128 b=5.8128 c=20.4683 alpha=90.00 beta=90.00 gamma=90.00
Space group I4/mmm (No. 139)
Asymmetric unit:
1 Sr 0.0000 0.0000 0.2481
2 Sr 0.0000 0.5000 0.0926
3 In 0.0000 0.0000 0.0000
4 Ag 0.0000 0.0000 0.5000

Main lines, sorted by position (2θ = 10–90°):
27.84 deg, d 3.204, I = 100
30.76 deg, d 2.906, I = 53
34.16 deg, d 2.625, I = 21
41.58 deg, d 2.172, I = 14
44.06 deg, d 2.055, I = 19
52.93 deg, d 1.730, I = 32
56.90 deg, d 1.618, I = 9
62.18 deg, d 1.493, I = 8
63.21 deg, d 1.471, I = 10
72.76 deg, d 1.300, I = 9


(2)
Theoretical PXRD pattern of Sr3In7Ag4 for Cu Kα (λ = 1.5418 Å), from a PBE-relaxed structure.

Unit cell a=17.6583 b=4.7109 c=10.8846 alpha=90.00 beta=125.87 gamma=90.00
Space group C2/m (No. 12)
Asymmetric unit:
1 Sr 0.0000 0.0000 0.0000
2 Sr 0.1911 0.5000 0.6948
3 In 0.0000 0.0000 0.5000
4 In 0.0047 0.5000 0.2907
5 In 0.1559 0.0000 0.4248
6 In 0.1775 0.5000 0.0256
7 Ag 0.1220 0.0000 0.8376
8 Ag 0.1604 0.5000 0.2715

Main lines, sorted by position (2θ = 10–90°):
30.97 deg, d 2.888, I = 100
31.13 deg, d 2.873, I = 38
31.73 deg, d 2.820, I = 94
32.24 deg, d 2.776, I = 32
33.97 deg, d 2.639, I = 41
37.72 deg, d 2.385, I = 50
38.21 deg, d 2.355, I = 83
38.54 deg, d 2.336, I = 30
39.64 deg, d 2.273, I = 35
54.78 deg, d 1.676, I = 33


(3)
Theoretical PXRD pattern of Sr2In2Ag3 for Cu Kα (λ = 1.5418 Å), from a PBE-relaxed structure.

Unit cell a=4.6635 b=20.6359 c=7.9592 alpha=90.00 beta=90.00 gamma=90.00
Space group Cmcm (No. 63)
Asymmetric unit:
1 Sr 0.0000 0.0572 0.2500
2 Sr 0.0000 0.1513 0.7500
3 In 0.0000 0.3082 0.5540
4 Ag 0.0000 0.2253 0.2500
5 Ag 0.0000 0.4398 0.0714

Main lines, sorted by position (2θ = 10–90°):
29.83 deg, d 2.995, I = 99
31.04 deg, d 2.881, I = 100
32.31 deg, d 2.771, I = 26
34.78 deg, d 2.579, I = 31
38.14 deg, d 2.359, I = 51
38.61 deg, d 2.332, I = 57
41.29 deg, d 2.186, I = 38
42.82 deg, d 2.112, I = 29
55.40 deg, d 1.658, I = 33
64.55 deg, d 1.444, I = 24